Entry 1:
Structure and theoretical powder X-ray diffraction pattern of AgTe3I (the GGA-PBE geometry in the Materials Project; CuKα).
Kinematic intensities with the Lorentz-polarization factor, no thermal factor.

Peak list (10 most intense, 5° ≤ 2θ ≤ 70°, low angle first)
| d [Å] | I/Imax | hkl |
| --- | --- | --- |
| 5.148 | 23 | 0 1 0 |
| 4.291 | 27 | 1 1 1 |
| 3.454 | 60 | 3 1 1 |
| 3.346 | 44 | 0 1 2 |
| 3.279 | 28 | 1 1 2 |
| 3.085 | 24 | 5 0 1 |
| 3.020 | 100 | 4 1 1 |
| 2.589 | 37 | 3 0 3 |
| 2.550 | 20 | 0 1 3 |
| 2.118 | 47 | 4 2 1 |

Atomic structure:
abc: 16.469 5.148 8.806
angles: 90.00 90.00 90.00
Space group Pmna (No. 53)
Asymmetric unit:
Ag: 0.250 0.199 0.250 (multiplicity 4)
Te: 0.000 0.127 0.218 (multiplicity 4)
Te: 0.127 0.131 0.641 (multiplicity 8)
I: 0.178 0.500 0.000 (multiplicity 4)



Entry 2:
Structure and theoretical powder X-ray diffraction pattern of Al4Ni15Ge (the GGA-PBE geometry in the Materials Project; CuKα).
Kinematic intensities with the Lorentz-polarization factor, no thermal factor.

Peak list (10 most intense, 5° ≤ 2θ ≤ 70°, low angle first)
| d [Å] | I/Imax | hkl |
| --- | --- | --- |
| 8.902 | 1 | 0 0 2 |
| 5.935 | 1 | 0 0 3 |
| 3.561 | 5 | 1 0 0 |
| 3.492 | 1 | 1 0 1 |
| 3.306 | 1 | 1 0 2 |
| 2.518 | 4 | 1 1 0 |
| 2.056 | 100 | 1 1 5 |
| 1.780 | 47 | 2 0 0 |
| 1.593 | 2 | 2 1 0 |
| 1.454 | 1 | 2 1 5 |

Atomic structure:
abc: 3.561 3.561 17.804
angles: 90.00 90.00 90.00
Space group P4/mmm (No. 123)
Asymmetric unit:
Al: 0.000 0.000 0.100 (multiplicity 2)
Al: 0.000 0.000 0.300 (multiplicity 2)
Ni: 0.000 0.500 0.000 (multiplicity 2)
Ni: 0.000 0.500 0.200 (multiplicity 4)
Ni: 0.000 0.500 0.400 (multiplicity 4)
Ni: 0.500 0.500 0.100 (multiplicity 2)
Ni: 0.500 0.500 0.300 (multiplicity 2)
Ni: 0.500 0.500 0.500 (multiplicity 1)
Ge: 0.000 0.000 0.500 (multiplicity 1)



Entry 3:
Structure and theoretical powder X-ray diffraction pattern of ScAg (the GGA-PBE geometry in the Materials Project; CuKα).
Kinematic intensities with the Lorentz-polarization factor, no thermal factor.

Peak list (6 most intense, 5° ≤ 2θ ≤ 70°, low angle first)
| d [Å] | I/Imax | hkl |
| --- | --- | --- |
| 3.445 | 23 | 1 0 0 |
| 2.436 | 100 | 1 1 0 |
| 1.989 | 7 | 1 1 1 |
| 1.722 | 16 | 2 0 0 |
| 1.541 | 9 | 2 1 0 |
| 1.406 | 32 | 2 1 1 |

Atomic structure:
abc: 3.445 3.445 3.445
angles: 90.00 90.00 90.00
Space group Pm-3m (No. 221)
Asymmetric unit:
Sc: 0.000 0.000 0.000 (multiplicity 1)
Ag: 0.500 0.500 0.500 (multiplicity 1)



Entry 4:
Structure and theoretical powder X-ray diffraction pattern of KSnSb (the GGA-PBE geometry in the Materials Project; CuKα).
Kinematic intensities with the Lorentz-polarization factor, no thermal factor.

Peak list (10 most intense, 5° ≤ 2θ ≤ 70°, low angle first)
| d [Å] | I/Imax | hkl |
| --- | --- | --- |
| 6.649 | 91 | 0 0 2 |
| 3.699 | 64 | 1 0 1 |
| 3.332 | 100 | 1 0 2 |
| 2.907 | 69 | 1 0 3 |
| 2.517 | 74 | 1 0 4 |
| 2.223 | 68 | 1 1 0 |
| 2.109 | 33 | 1 1 2 |
| 1.921 | 31 | 1 0 6 |
| 1.849 | 25 | 2 0 2 |
| 1.666 | 22 | 2 0 4 |

Atomic structure:
abc: 4.4468 4.4468 13.2979
angles: 90.00 90.00 120.00
Space group P6_3mc (No. 186)
Asymmetric unit:
K: 0.3333 0.6667 0.0000 (multiplicity 2)
Sn: 0.0000 0.0000 0.2971 (multiplicity 2)
Sb: 0.3333 0.6667 0.6888 (multiplicity 2)



Entry 5:
Structure and theoretical powder X-ray diffraction pattern of NpCl4 (the GGA-PBE geometry in the Materials Project; CuKα).
Kinematic intensities with the Lorentz-polarization factor, no thermal factor.

Peak list (10 most intense, 5° ≤ 2θ ≤ 70°, low angle first)
| d [Å] | I/Imax | hkl |
| --- | --- | --- |
| 5.677 | 100 | 1 0 1 |
| 4.159 | 58 | 2 0 0 |
| 3.355 | 29 | 2 1 1 |
| 3.241 | 36 | 1 1 2 |
| 2.611 | 35 | 3 0 1 |
| 2.472 | 27 | 1 0 3 |
| 2.211 | 29 | 3 2 1 |
| 2.178 | 44 | 3 1 2 |
| 1.750 | 17 | 3 3 2 |
| 1.627 | 15 | 4 3 1 |

Atomic structure:
abc: 8.317 8.317 7.767
angles: 90.00 90.00 90.00
Space group I4_1/amd (No. 141, origin choice 2)
Asymmetric unit:
Np: 0.000 0.250 0.375 (multiplicity 4)
Cl: 0.000 0.061 0.690 (multiplicity 16)